(1)
Simulated PXRD pattern
Compound: Zr4Cu2CN
Radiation: a wavelength of 1.5418 Å
Structure: a cell relaxed with GGA-PBE
Intensities are scaled so that the largest is 100.

Top 10 peaks for 10 to 80 degrees two-theta, sorted by position:
hkl 1 0 0, 31.4°, I 23; hkl 1 0 3, 37.3°, I 100; hkl 0 0 6, 39.9°, I 15; hkl 1 0 4, 41.4°, I 3; hkl 0 1 6, 51.6°, I 13; hkl 1 1 0, 55.8°, I 22; hkl 0 1 7, 57.5°, I 4; hkl 0 2 3, 69.0°, I 15; hkl 1 1 6, 70.8°, I 25; hkl 2 0 6, 79.5°, I 3

a b c (Å): 3.2945 3.2945 13.5485
angles (deg): 90.00 90.00 120.00
Space group P-3m1 (No. 164)
Unique sites:
Zr 0.3333 0.6667 0.0966 [2 per cell]
Zr 0.3333 0.6667 0.4053 [2 per cell]
Cu 0.3333 0.6667 0.7475 [2 per cell]
C 0.0000 0.0000 0.0000 [1 per cell]
N 0.0000 0.0000 0.5000 [1 per cell]

***

(2)
Simulated PXRD pattern
Compound: Nb4CuSbC2
Radiation: a wavelength of 1.5418 Å
Structure: a cell relaxed with GGA-PBE
Intensities are scaled so that the largest is 100.

Top 10 peaks for 10 to 80 degrees two-theta, sorted by position:
hkl 1 0 0, 31.6°, I 24; hkl 1 0 2, 34.5°, I 3; hkl 1 0 3, 37.9°, I 100; hkl 0 0 6, 41.4°, I 15; hkl 1 0 6, 53.0°, I 13; hkl 1 1 0, 56.3°, I 22; hkl 2 0 0, 66.0°, I 5; hkl 2 0 3, 69.9°, I 16; hkl 1 1 6, 72.3°, I 17; hkl 1 0 9, 73.2°, I 12

a b c (Å): 3.2666 3.2666 13.0878
angles (deg): 90.00 90.00 120.00
Space group P-6m2 (No. 187)
Unique sites:
Nb 0.0000 0.0000 0.1544 [2 per cell]
Nb 0.3333 0.6667 0.3315 [2 per cell]
Cu 0.3333 0.6667 0.0000 [1 per cell]
Sb 0.0000 0.0000 0.5000 [1 per cell]
C 0.6667 0.3333 0.2405 [2 per cell]

***

(3)
Simulated PXRD pattern
Compound: Sc4Nb2Cu3C3
Radiation: a wavelength of 1.5418 Å
Structure: a cell relaxed with GGA-PBE
Intensities are scaled so that the largest is 100.

Top 10 peaks for 10 to 80 degrees two-theta, sorted by position:
hkl 1 1 2, 23.6°, I 25; hkl 2 0 2, 24.9°, I 20; hkl 2 0 -4, 28.6°, I 13; hkl 3 1 2, 37.4°, I 100; hkl 0 2 3, 37.6°, I 71; hkl 4 0 -2, 37.8°, I 19; hkl 3 1 -4, 38.1°, I 61; hkl 0 0 6, 38.6°, I 59; hkl 3 3 -1, 57.4°, I 15; hkl 6 0 0, 58.9°, I 15

a b c (Å): 9.600 5.568 14.273
angles (deg): 90.00 101.61 90.00
Space group C2/c (No. 15)
Unique sites:
Sc 0.111 0.073 0.089 [8 per cell]
Sc 0.218 0.088 0.411 [8 per cell]
Nb 0.063 0.413 0.914 [8 per cell]
Cu 0.000 0.081 0.250 [4 per cell]
Cu 0.244 0.338 0.249 [8 per cell]
C 0.077 0.268 0.500 [8 per cell]
C 0.250 0.250 0.000 [4 per cell]

***

(4)
Simulated PXRD pattern
Compound: CuPW4C2
Radiation: a wavelength of 1.5418 Å
Structure: a cell relaxed with GGA-PBE
Intensities are scaled so that the largest is 100.

Top 10 peaks for 10 to 80 degrees two-theta, sorted by position:
hkl 0 0 2, 14.6°, I 16; hkl 0 0 4, 29.3°, I 11; hkl 1 0 0, 33.0°, I 27; hkl 1 0 1, 33.8°, I 23; hkl 1 0 3, 39.9°, I 100; hkl 0 0 6, 44.7°, I 21; hkl 1 0 6, 56.6°, I 11; hkl 1 1 0, 58.9°, I 24; hkl 2 0 3, 73.6°, I 17; hkl 1 1 6, 76.8°, I 17

a b c (Å): 3.1355 3.1355 12.1732
angles (deg): 90.00 90.00 120.00
Space group P-6m2 (No. 187)
Unique sites:
Cu 0.0000 0.0000 0.0000 [1 per cell]
P 0.6667 0.3333 0.5000 [1 per cell]
W 0.0000 0.0000 0.3561 [2 per cell]
W 0.6667 0.3333 0.1681 [2 per cell]
C 0.3333 0.6667 0.2545 [2 per cell]

***

(5)
Simulated PXRD pattern
Compound: Y4CuPC2
Radiation: a wavelength of 1.5418 Å
Structure: a cell relaxed with GGA-PBE
Intensities are scaled so that the largest is 100.

Top 10 peaks for 10 to 80 degrees two-theta, sorted by position:
hkl 1 0 0, 27.7°, I 28; hkl 1 0 1, 28.5°, I 11; hkl 1 0 2, 30.8°, I 6; hkl 1 0 3, 34.3°, I 100; hkl 1 0 4, 38.8°, I 7; hkl 0 0 6, 40.3°, I 8; hkl 1 1 0, 49.0°, I 29; hkl 1 0 6, 49.6°, I 10; hkl 2 0 3, 61.2°, I 18; hkl 1 1 6, 65.3°, I 12

a b c (Å): 3.7170 3.7170 13.4241
angles (deg): 90.00 90.00 120.00
Space group P-6m2 (No. 187)
Unique sites:
Y 0.0000 0.0000 0.1372 [2 per cell]
Y 0.6667 0.3333 0.3389 [2 per cell]
Cu 0.0000 0.0000 0.5000 [1 per cell]
P 0.6667 0.3333 0.0000 [1 per cell]
C 0.3333 0.6667 0.2504 [2 per cell]

***

(6)
Simulated PXRD pattern
Compound: Y4CuPC2
Radiation: a wavelength of 1.5418 Å
Structure: a cell relaxed with GGA-PBE
Intensities are scaled so that the largest is 100.

Top 10 peaks for 10 to 80 degrees two-theta, sorted by position:
hkl 1 0 0, 27.7°, I 28; hkl 1 0 1, 28.5°, I 11; hkl 1 0 2, 30.8°, I 6; hkl 1 0 3, 34.3°, I 100; hkl 1 0 4, 38.8°, I 7; hkl 0 0 6, 40.3°, I 8; hkl 1 1 0, 49.0°, I 29; hkl 1 0 6, 49.6°, I 10; hkl 2 0 3, 61.2°, I 18; hkl 1 1 6, 65.3°, I 12

a b c (Å): 3.7173 3.7173 13.4225
angles (deg): 90.00 90.00 120.00
Space group P-6m2 (No. 187)
Unique sites:
Y 0.0000 0.0000 0.1371 [2 per cell]
Y 0.3333 0.6667 0.3389 [2 per cell]
Cu 0.0000 0.0000 0.5000 [1 per cell]
P 0.3333 0.6667 0.0000 [1 per cell]
C 0.6667 0.3333 0.2505 [2 per cell]

***

(7)
Simulated PXRD pattern
Compound: Cu2C3S3
Radiation: a wavelength of 1.5418 Å
Structure: a cell relaxed with GGA-PBE
Intensities are scaled so that the largest is 100.

Top 10 peaks for 10 to 80 degrees two-theta, sorted by position:
hkl 0 0 1, 11.8°, I 48; hkl 0 1 1, 12.7°, I 22; hkl 0 0 2, 23.8°, I 33; hkl 1 1 1, 24.7°, I 100; hkl -1 1 1, 27.5°, I 20; hkl 1 2 1, 30.1°, I 17; hkl 0 0 3, 36.1°, I 19; hkl 0 3 0, 36.6°, I 60; hkl -1 1 3, 42.2°, I 27; hkl 2 1 2, 49.2°, I 20

a b c (Å): 3.934 8.207 8.344
angles (deg): 63.98 83.47 84.52
Space group P-1 (No. 2)
Unique sites:
Cu 0.000 0.000 0.000 [1 per cell]
Cu 0.213 0.631 0.476 [2 per cell]
Cu 0.500 0.000 0.500 [1 per cell]
C 0.310 0.594 0.091 [2 per cell]
C 0.389 0.684 0.905 [2 per cell]
C 0.424 0.411 0.184 [2 per cell]
S 0.050 0.706 0.199 [2 per cell]
S 0.258 0.912 0.788 [2 per cell]
S 0.346 0.300 0.419 [2 per cell]

***

(8)
Simulated PXRD pattern
Compound: CuSbW4C2
Radiation: a wavelength of 1.5418 Å
Structure: a cell relaxed with GGA-PBE
Intensities are scaled so that the largest is 100.

Top 10 peaks for 10 to 80 degrees two-theta, sorted by position:
hkl 0 0 2, 13.5°, I 11; hkl 1 0 0, 32.9°, I 25; hkl 1 0 1, 33.6°, I 6; hkl 1 0 3, 39.0°, I 100; hkl 0 0 6, 41.3°, I 16; hkl 1 0 6, 53.8°, I 13; hkl 1 1 0, 58.8°, I 22; hkl 2 0 3, 72.8°, I 16; hkl 1 0 9, 73.7°, I 12; hkl 1 1 6, 74.3°, I 18

a b c (Å): 3.1432 3.1432 13.1261
angles (deg): 90.00 90.00 120.00
Space group P-6m2 (No. 187)
Unique sites:
Cu 0.0000 0.0000 0.0000 [1 per cell]
Sb 0.6667 0.3333 0.5000 [1 per cell]
W 0.0000 0.0000 0.3255 [2 per cell]
W 0.6667 0.3333 0.1537 [2 per cell]
C 0.3333 0.6667 0.2401 [2 per cell]